(1)
Structure and calculated powder X-ray diffraction pattern of Li2AlCd2InPt2 (the PBE geometry in OQMD; Cu Ka).
Kinematic intensities with the Lorentz-polarization factor, no thermal factor.

Largest 8 diffraction maxima, sorted by position, 2θ = 5–70°:
2θ (°), I (rel.)
23.97, 92
39.56, 100
39.79, 51
46.58, 14
46.99, 31
56.83, 8
57.54, 17
62.89, 12

a = 4.5304 Å, b = 4.5304 Å, c = 6.4802 Å
α = 90.00°, β = 90.00°, γ = 90.00°
Positions (direct):
Li: 0.0000 0.5000 0.2367
Li: 0.5000 0.0000 0.7633
Al: 0.5000 0.5000 0.0000
Cd: 0.0000 0.0000 0.0000
Cd: 0.5000 0.5000 0.5000
In: 0.0000 0.0000 0.5000
Pt: 0.0000 0.5000 0.7702
Pt: 0.5000 0.0000 0.2298



(2)
Structure and calculated powder X-ray diffraction pattern of Cs2Sn3HgSe8 (the PBE geometry in OQMD; Cu Ka).
Kinematic intensities with the Lorentz-polarization factor, no thermal factor.

Largest 8 diffraction maxima, sorted by position, 2θ = 5–70°:
2θ (°), I (rel.)
13.57, 42
24.84, 100
26.28, 26
27.31, 81
35.75, 26
44.64, 30
45.02, 30
45.91, 23

a = 8.1212 Å, b = 13.0549 Å, c = 18.8523 Å
α = 90.00°, β = 90.00°, γ = 90.00°
Positions (direct):
Cs: 0.2380 0.1910 0.1603
Cs: 0.2485 0.1230 0.5489
Cs: 0.2515 0.8770 0.0489
Cs: 0.2620 0.8090 0.6603
Cs: 0.7380 0.3090 0.8397
Cs: 0.7485 0.3770 0.4511
Cs: 0.7515 0.6230 0.9511
Cs: 0.7620 0.6910 0.3397
Sn: 0.0122 0.4789 0.6530
Sn: 0.2320 0.4270 0.9834
Sn: 0.2379 0.4450 0.3230
Sn: 0.2621 0.5550 0.8230
Sn: 0.2680 0.5730 0.4834
Sn: 0.4878 0.5211 0.1530
Sn: 0.5122 0.0211 0.3470
Sn: 0.7320 0.0730 0.0166
Sn: 0.7379 0.0550 0.6770
Sn: 0.7621 0.9450 0.1770
Sn: 0.7680 0.9270 0.5166
Sn: 0.9878 0.9789 0.8470
Hg: 0.0168 0.9981 0.3473
Hg: 0.4832 0.0019 0.8473
Hg: 0.5168 0.5019 0.6527
Hg: 0.9832 0.4981 0.1527
Se: 0.0024 0.1148 0.9498
Se: 0.0102 0.1047 0.7387
Se: 0.0252 0.8774 0.2291
Se: 0.0324 0.8684 0.4599
Se: 0.2333 0.6219 0.9531
Se: 0.2346 0.6326 0.1595
Se: 0.2362 0.8625 0.8525
Se: 0.2410 0.6393 0.3539
Se: 0.2590 0.3607 0.8539
Se: 0.2638 0.1375 0.3525
Se: 0.2654 0.3674 0.6595
Se: 0.2667 0.3781 0.4531
Se: 0.4676 0.1316 0.9599
Se: 0.4748 0.1226 0.7291
Se: 0.4898 0.8953 0.2387
Se: 0.4976 0.8852 0.4498
Se: 0.5024 0.3852 0.0502
Se: 0.5102 0.3953 0.2613
Se: 0.5252 0.6226 0.7709
Se: 0.5324 0.6316 0.5401
Se: 0.7333 0.8781 0.0469
Se: 0.7346 0.8674 0.8405
Se: 0.7362 0.6375 0.1475
Se: 0.7410 0.8607 0.6461
Se: 0.7590 0.1393 0.1461
Se: 0.7638 0.3625 0.6475
Se: 0.7654 0.1326 0.3405
Se: 0.7667 0.1219 0.5469
Se: 0.9676 0.3684 0.0401
Se: 0.9748 0.3774 0.2709
Se: 0.9898 0.6047 0.7613
Se: 0.9976 0.6148 0.5502



(3)
Structure and calculated powder X-ray diffraction pattern of NdAlGaAu2 (the PBE geometry in OQMD; Cu Ka).
Kinematic intensities with the Lorentz-polarization factor, no thermal factor.

Largest 8 diffraction maxima, sorted by position, 2θ = 5–70°:
2θ (°), I (rel.)
29.86, 60
32.44, 75
33.32, 100
40.92, 80
44.84, 37
47.53, 32
53.16, 37
59.25, 27

a = 4.4109 Å, b = 4.4109 Å, c = 10.6150 Å
α = 90.00°, β = 90.00°, γ = 90.00°
Positions (direct):
Nd: 0.2500 0.2500 0.2463
Nd: 0.7500 0.7500 0.7537
Al: 0.2500 0.7500 0.5000
Al: 0.7500 0.2500 0.5000
Ga: 0.2500 0.2500 0.8640
Ga: 0.7500 0.7500 0.1360
Au: 0.2500 0.2500 0.6265
Au: 0.2500 0.7500 0.0000
Au: 0.7500 0.2500 0.0000
Au: 0.7500 0.7500 0.3735



(4)
Structure and calculated powder X-ray diffraction pattern of SmFeNi3B (the PBE geometry in OQMD; Cu Ka).
Kinematic intensities with the Lorentz-polarization factor, no thermal factor.

Largest 8 diffraction maxima, sorted by position, 2θ = 5–70°:
2θ (°), I (rel.)
32.70, 92
35.42, 29
41.12, 81
44.10, 100
61.87, 29
64.68, 15
68.53, 14
69.63, 24

a = 5.0691 Å, b = 5.0691 Å, c = 7.0071 Å
α = 90.00°, β = 90.00°, γ = 120.00°
Positions (direct):
Sm: 0.0000 0.0000 0.0000
Sm: 0.0000 0.0000 0.5000
Fe: 0.3333 0.6667 0.0000
Fe: 0.6667 0.3333 0.0000
Ni: 0.0000 0.5000 0.2952
Ni: 0.0000 0.5000 0.7048
Ni: 0.5000 0.0000 0.2952
Ni: 0.5000 0.0000 0.7048
Ni: 0.5000 0.5000 0.2952
Ni: 0.5000 0.5000 0.7048
B: 0.3333 0.6667 0.5000
B: 0.6667 0.3333 0.5000



(5)
Structure and calculated powder X-ray diffraction pattern of LaSc2NiSn3Ir2 (the PBE geometry in OQMD; Cu Ka).
Kinematic intensities with the Lorentz-polarization factor, no thermal factor.

Largest 8 diffraction maxima, sorted by position, 2θ = 5–70°:
2θ (°), I (rel.)
24.22, 47
33.98, 100
34.11, 44
36.66, 40
36.82, 88
41.14, 36
41.48, 48
49.62, 37

a = 3.6746 Å, b = 7.5809 Å, c = 7.5809 Å
α = 120.51°, β = 90.00°, γ = 90.00°
Positions (direct):
La: 0.0000 0.0000 0.0000
Sc: 0.0000 0.4095 0.8167
Sc: 0.0000 0.8167 0.4095
Ni: 0.0000 0.4131 0.4131
Sn: 0.5000 0.1542 0.4204
Sn: 0.5000 0.4204 0.1542
Sn: 0.5000 0.6578 0.6578
Ir: 0.5000 0.0818 0.7367
Ir: 0.5000 0.7367 0.0818



(6)
Structure and calculated powder X-ray diffraction pattern of HoErGeF2 (the PBE geometry in OQMD; Cu Ka).
Kinematic intensities with the Lorentz-polarization factor, no thermal factor.

Largest 8 diffraction maxima, sorted by position, 2θ = 5–70°:
2θ (°), I (rel.)
27.30, 15
29.38, 100
38.01, 37
45.75, 38
49.56, 32
54.10, 14
55.30, 17
69.73, 11

a = 3.9665 Å, b = 3.9665 Å, c = 6.5335 Å
α = 90.00°, β = 90.00°, γ = 120.00°
Positions (direct):
Ho: 0.0000 0.0000 0.0000
Er: 0.3333 0.6667 0.5096
Ge: 0.6667 0.3333 0.7540
F: 0.0000 0.0000 0.3567
F: 0.3333 0.6667 0.1558